[1]
The following is a calculated X-ray diffraction stick pattern of BaSrDySbO6. It was derived from a structure optimized by DFT (PBE), using CuKα.
Lines closer than 0.1° are merged.

Structure:
Unit cell a=8.463 b=8.463 c=8.463 alpha=90.00 beta=90.00 gamma=90.00
Space group F-43m (No. 216)
Unique sites:
Ba 0.000 0.000 0.000
Sr 0.000 0.000 0.500
Dy 0.250 0.250 0.750
Sb 0.250 0.250 0.250
O 0.013 0.250 0.250

Top 6 peaks for 2θ = 10–90°, by angle:
2θ (°), I_rel, h k l
29.86, 100, 2 2 0
42.74, 30, 4 0 0
53.01, 40, 4 2 2
62.04, 19, 4 4 0
70.36, 18, 6 2 0
85.96, 22, 6 4 2

[2]
The following is a calculated X-ray diffraction stick pattern of BaSrDySeO6. It was derived from a structure optimized by DFT (PBE), using CuKα.
Lines closer than 0.1° are merged.

Structure:
Unit cell a=8.361 b=8.361 c=8.361 alpha=90.00 beta=90.00 gamma=90.00
Space group F-43m (No. 216)
Unique sites:
Ba 0.000 0.000 0.000
Sr 0.000 0.000 0.500
Dy 0.250 0.250 0.750
Se 0.250 0.250 0.250
O 0.015 0.250 0.250

Top 6 peaks for 2θ = 10–90°, by angle:
2θ (°), I_rel, h k l
30.24, 100, 2 2 0
43.29, 31, 4 0 0
53.71, 40, 4 2 2
62.88, 19, 4 4 0
71.35, 18, 6 2 0
87.26, 22, 6 4 2

[3]
The following is a calculated X-ray diffraction stick pattern of BaTb4DyO12. It was derived from a structure optimized by DFT (PBE), using CuKα.
Lines closer than 0.1° are merged.

Structure:
Unit cell a=8.760 b=8.962 c=8.463 alpha=90.00 beta=90.00 gamma=90.00
Space group Amm2 (No. 38)
Unique sites:
Ba 0.000 0.000 0.000
Tb 0.265 0.227 0.330
Dy 0.500 0.000 0.640
O 0.000 0.217 0.291
O 0.208 0.200 0.077
O 0.261 0.000 0.789
O 0.341 0.000 0.427
O 0.500 0.212 0.765

Top 6 peaks for 2θ = 10–90°, by angle:
2θ (°), I_rel, h k l
17.61, 79, 1 1 1
20.99, 35, 0 0 2
28.50, 100, 2 2 0
29.02, 78, 0 2 2
29.35, 73, 2 0 2
51.20, 33, 4 2 2

[4]
The following is a calculated X-ray diffraction stick pattern of BaTb2DyO6. It was derived from a structure optimized by DFT (PBE), using CuKα.
Lines closer than 0.1° are merged.

Structure:
Unit cell a=8.540 b=8.606 c=4.372 alpha=90.00 beta=90.00 gamma=90.00
Space group Cmmm (No. 65)
Unique sites:
Ba 0.000 0.000 0.000
Tb 0.250 0.250 0.500
Dy 0.000 0.500 0.000
O 0.000 0.178 0.500
O 0.149 0.500 0.500
O 0.250 0.250 0.000

Top 6 peaks for 2θ = 10–90°, by angle:
2θ (°), I_rel, h k l
29.12, 86, 0 2 1
29.23, 82, 2 0 1
29.47, 100, 2 2 0
51.55, 42, 2 2 2
51.99, 39, 2 4 1
52.20, 42, 4 2 1

[5]
The following is a calculated X-ray diffraction stick pattern of BaTb2DyO6. It was derived from a structure optimized by DFT (PBE), using CuKα.
Lines closer than 0.1° are merged.

Structure:
Unit cell a=8.586 b=8.586 c=8.839 alpha=90.00 beta=90.00 gamma=90.00
Space group P4_2/mmc (No. 131)
Unique sites:
Ba 0.000 0.000 0.000
Ba 0.000 0.500 0.000
Tb 0.256 0.256 0.250
Dy 0.000 0.500 0.500
Dy 0.500 0.500 0.000
O 0.000 0.264 0.210
O 0.196 0.325 0.500
O 0.294 0.500 0.162

Top 6 peaks for 2θ = 10–90°, by angle:
2θ (°), I_rel, h k l
29.00, 100, 2 0 2
29.42, 44, 2 2 0
42.09, 23, 4 0 0
51.13, 23, 2 2 4
51.92, 43, 4 2 2
60.09, 14, 4 0 4

[6]
The following is a calculated X-ray diffraction stick pattern of BaTb2DyO6. It was derived from a structure optimized by DFT (PBE), using CuKα.
Lines closer than 0.1° are merged.

Structure:
Unit cell a=5.958 b=8.633 c=6.173 alpha=90.00 beta=91.15 gamma=90.00
Space group P2_1/m (No. 11)
Unique sites:
Ba 0.009 0.250 0.448
Tb 0.000 0.000 0.000
Tb 0.500 0.000 0.500
Dy 0.465 0.250 0.944
O 0.162 0.750 0.977
O 0.211 0.064 0.716
O 0.314 0.080 0.187
O 0.406 0.750 0.408

Top 6 peaks for 2θ = 10–90°, by angle:
2θ (°), I_rel, h k l
28.93, 42, 0 0 2
29.21, 100, 1 2 -1
29.52, 98, 1 2 1
30.00, 42, 2 0 0
41.85, 23, 0 4 0
52.60, 23, 3 2 -1

[7]
The following is a calculated X-ray diffraction stick pattern of BaDy2S4. It was derived from a structure optimized by DFT (PBE), using CuKα.
Lines closer than 0.1° are merged.

Structure:
Unit cell a=12.346 b=4.064 c=14.589 alpha=90.00 beta=90.00 gamma=90.00
Space group Pnma (No. 62)
Unique sites:
Ba 0.241 0.250 0.163
Dy 0.065 0.250 0.391
Dy 0.080 0.250 0.899
S 0.025 0.750 0.784
S 0.082 0.250 0.576
S 0.123 0.750 0.024
S 0.205 0.750 0.337

Top 6 peaks for 2θ = 10–90°, by angle:
2θ (°), I_rel, h k l
24.41, 44, 0 0 4
24.84, 100, 3 0 2
26.12, 71, 1 1 2
26.26, 35, 2 1 0
29.55, 34, 1 1 3
36.15, 52, 2 1 4

[8]
The following is a calculated X-ray diffraction stick pattern of BaDy2Se4. It was derived from a structure optimized by DFT (PBE), using CuKα.
Lines closer than 0.1° are merged.

Structure:
Unit cell a=12.883 b=4.218 c=15.186 alpha=90.00 beta=90.00 gamma=90.00
Space group Pnma (No. 62)
Unique sites:
Ba 0.243 0.250 0.163
Dy 0.066 0.250 0.390
Dy 0.079 0.250 0.900
Se 0.024 0.750 0.784
Se 0.082 0.250 0.577
Se 0.126 0.750 0.025
Se 0.207 0.750 0.334

Top 6 peaks for 2θ = 10–90°, by angle:
2θ (°), I_rel, h k l
23.80, 95, 3 0 2
25.12, 60, 1 1 2
28.39, 99, 1 1 3
34.70, 100, 2 1 4
35.05, 57, 4 1 0
42.86, 100, 0 2 0